1.
This entry pairs a crystal structure of Rb2ScZn2O4 with its calculated XRD peak list. Radiation: λ = 1.5418 Å (Cu Kα). Structure: DFT lattice parameters and positions (PBE).
Kinematic intensities with the Lorentz-polarization factor, no thermal factor.

Cell: 7.265 7.265 6.982 Å, 112.40 112.40 25.92°
Atoms (fractional coordinates):
1 Rb 0.125 0.125 0.038
2 Rb 0.875 0.875 0.962
3 Sc 0.000 0.000 0.500
4 Zn 0.322 0.322 0.469
5 Zn 0.678 0.678 0.531
6 O 0.166 0.166 0.690
7 O 0.471 0.471 0.676
8 O 0.529 0.529 0.324
9 O 0.834 0.834 0.310

Top 12 peaks for 2θ from 10° to 80°, by angle:
- d = 3.258 Å, 2θ = 27.4°, rel. 28.5
- d = 3.213 Å, 2θ = 27.8°, rel. 95.7
- d = 2.949 Å, 2θ = 30.3°, rel. 50.5
- d = 2.931 Å, 2θ = 30.5°, rel. 50.2
- d = 2.641 Å, 2θ = 33.9°, rel. 100.0
- d = 2.534 Å, 2θ = 35.4°, rel. 41.0
- d = 2.306 Å, 2θ = 39.1°, rel. 32.8
- d = 2.239 Å, 2θ = 40.3°, rel. 71.6
- d = 1.886 Å, 2θ = 48.3°, rel. 28.3
- d = 1.857 Å, 2θ = 49.1°, rel. 29.3
- d = 1.492 Å, 2θ = 62.2°, rel. 31.0
- d = 1.414 Å, 2θ = 66.1°, rel. 28.2

2.
This entry pairs a crystal structure of Rb2SeO4 with its calculated XRD peak list. Radiation: λ = 1.5418 Å (Cu Kα). Structure: DFT lattice parameters and positions (PBE).
Kinematic intensities with the Lorentz-polarization factor, no thermal factor.

Cell: 9.092 9.305 6.496 Å, 90.00 134.28 90.00°
Atoms (fractional coordinates):
1 Rb 0.000 0.250 0.000
2 Rb 0.000 0.750 0.000
3 Rb 0.500 0.250 0.000
4 Rb 0.500 0.750 0.000
5 Se 0.499 0.000 0.499
6 Se 0.999 0.500 0.499
7 O 0.040 0.500 0.794
8 O 0.105 0.352 0.501
9 O 0.105 0.648 0.501
10 O 0.247 0.000 0.200
11 O 0.540 0.000 0.794
12 O 0.605 0.148 0.501
13 O 0.605 0.852 0.501
14 O 0.747 0.500 0.200

Top 12 peaks for 2θ from 10° to 80°, by angle:
- d = 5.330 Å, 2θ = 16.6°, rel. 64.0
- d = 3.289 Å, 2θ = 27.1°, rel. 40.3
- d = 3.251 Å, 2θ = 27.4°, rel. 100.0
- d = 2.799 Å, 2θ = 32.0°, rel. 11.5
- d = 2.665 Å, 2θ = 33.6°, rel. 8.2
- d = 2.326 Å, 2θ = 38.7°, rel. 18.9
- d = 1.892 Å, 2θ = 48.1°, rel. 35.9
- d = 1.870 Å, 2θ = 48.7°, rel. 20.7
- d = 1.626 Å, 2θ = 56.6°, rel. 8.6
- d = 1.471 Å, 2θ = 63.2°, rel. 9.2
- d = 1.468 Å, 2θ = 63.4°, rel. 9.1
- d = 1.241 Å, 2θ = 76.8°, rel. 9.8

3.
This entry pairs a crystal structure of Rb2SeO4 with its calculated XRD peak list. Radiation: λ = 1.5418 Å (Cu Kα). Structure: DFT lattice parameters and positions (PBE).
Kinematic intensities with the Lorentz-polarization factor, no thermal factor.

Cell: 8.525 6.316 6.316 Å, 118.08 90.00 90.00°
Atoms (fractional coordinates):
1 Rb 0.000 0.000 0.000
2 Rb 0.250 0.681 0.305
3 Rb 0.500 0.000 0.000
4 Rb 0.750 0.305 0.681
5 Se 0.250 0.355 0.658
6 Se 0.750 0.658 0.355
7 O 0.090 0.277 0.760
8 O 0.250 0.218 0.356
9 O 0.250 0.654 0.762
10 O 0.410 0.277 0.760
11 O 0.590 0.760 0.277
12 O 0.750 0.356 0.218
13 O 0.750 0.762 0.654
14 O 0.910 0.760 0.277

Top 12 peaks for 2θ from 10° to 80°, by angle:
- d = 4.263 Å, 2θ = 20.8°, rel. 15.2
- d = 3.386 Å, 2θ = 26.3°, rel. 100.0
- d = 3.350 Å, 2θ = 26.6°, rel. 29.4
- d = 3.249 Å, 2θ = 27.4°, rel. 49.1
- d = 3.156 Å, 2θ = 28.3°, rel. 83.5
- d = 2.332 Å, 2θ = 38.6°, rel. 39.0
- d = 2.286 Å, 2θ = 39.4°, rel. 14.5
- d = 2.131 Å, 2θ = 42.4°, rel. 15.8
- d = 1.869 Å, 2θ = 48.7°, rel. 15.5
- d = 1.858 Å, 2θ = 49.0°, rel. 19.0
- d = 1.851 Å, 2θ = 49.2°, rel. 15.9
- d = 1.766 Å, 2θ = 51.8°, rel. 29.6

4.
This entry pairs a crystal structure of Rb9SeO3 with its calculated XRD peak list. Radiation: λ = 1.5418 Å (Cu Kα). Structure: DFT lattice parameters and positions (PBE).
Kinematic intensities with the Lorentz-polarization factor, no thermal factor.

Cell: 10.281 10.281 5.634 Å, 90.00 90.00 120.00°
Atoms (fractional coordinates):
1 Rb 0.000 0.500 0.000
2 Rb 0.191 0.383 0.500
3 Rb 0.191 0.809 0.500
4 Rb 0.383 0.191 0.500
5 Rb 0.500 0.000 0.000
6 Rb 0.500 0.500 0.000
7 Rb 0.617 0.809 0.500
8 Rb 0.809 0.191 0.500
9 Rb 0.809 0.617 0.500
10 Se 0.000 0.000 0.000
11 O 0.000 0.500 0.500
12 O 0.500 0.000 0.500
13 O 0.500 0.500 0.500

Top 12 peaks for 2θ from 10° to 80°, by angle:
- d = 5.634 Å, 2θ = 15.7°, rel. 10.5
- d = 5.141 Å, 2θ = 17.3°, rel. 11.9
- d = 3.493 Å, 2θ = 25.5°, rel. 100.0
- d = 3.365 Å, 2θ = 26.5°, rel. 16.1
- d = 2.889 Å, 2θ = 31.0°, rel. 24.3
- d = 2.817 Å, 2θ = 31.8°, rel. 28.2
- d = 2.570 Å, 2θ = 34.9°, rel. 46.6
- d = 2.070 Å, 2θ = 43.7°, rel. 15.2
- d = 1.899 Å, 2θ = 47.9°, rel. 36.7
- d = 1.730 Å, 2θ = 52.9°, rel. 13.4
- d = 1.612 Å, 2θ = 57.1°, rel. 14.8
- d = 1.235 Å, 2θ = 77.2°, rel. 12.0

5.
This entry pairs a crystal structure of Rb11SeO5 with its calculated XRD peak list. Radiation: λ = 1.5418 Å (Cu Kα). Structure: DFT lattice parameters and positions (PBE).
Kinematic intensities with the Lorentz-polarization factor, no thermal factor.

Cell: 8.818 8.818 8.826 Å, 101.34 101.34 112.79°
Atoms (fractional coordinates):
1 Rb 0.000 0.000 0.000
2 Rb 0.114 0.706 0.162
3 Rb 0.159 0.405 0.468
4 Rb 0.294 0.886 0.838
5 Rb 0.388 0.388 0.170
6 Rb 0.405 0.159 0.468
7 Rb 0.595 0.841 0.532
8 Rb 0.612 0.612 0.830
9 Rb 0.706 0.114 0.162
10 Rb 0.841 0.595 0.532
11 Rb 0.886 0.294 0.838
12 Se 0.000 0.000 0.500
13 O 0.057 0.362 0.150
14 O 0.362 0.057 0.150
15 O 0.500 0.500 0.500
16 O 0.638 0.943 0.850
17 O 0.943 0.638 0.850

Top 12 peaks for 2θ from 10° to 80°, by angle:
- d = 6.757 Å, 2θ = 13.1°, rel. 53.3
- d = 3.805 Å, 2θ = 23.4°, rel. 47.2
- d = 3.588 Å, 2θ = 24.8°, rel. 52.3
- d = 3.501 Å, 2θ = 25.4°, rel. 88.3
- d = 3.355 Å, 2θ = 26.6°, rel. 54.7
- d = 3.268 Å, 2θ = 27.3°, rel. 100.0
- d = 2.911 Å, 2θ = 30.7°, rel. 45.8
- d = 2.861 Å, 2θ = 31.3°, rel. 70.2
- d = 2.749 Å, 2θ = 32.6°, rel. 71.3
- d = 2.710 Å, 2θ = 33.1°, rel. 67.6
- d = 2.138 Å, 2θ = 42.3°, rel. 42.3
- d = 1.709 Å, 2θ = 53.6°, rel. 31.7

6.
This entry pairs a crystal structure of Rb4SnSe4O4 with its calculated XRD peak list. Radiation: λ = 1.5418 Å (Cu Kα). Structure: DFT lattice parameters and positions (PBE).
Kinematic intensities with the Lorentz-polarization factor, no thermal factor.

Cell: 8.873 8.880 11.145 Å, 90.38 111.67 107.83°
Atoms (fractional coordinates):
1 Rb 0.033 0.493 0.262
2 Rb 0.126 0.830 0.505
3 Rb 0.175 0.849 0.016
4 Rb 0.299 0.203 0.340
5 Rb 0.701 0.797 0.660
6 Rb 0.825 0.151 0.984
7 Rb 0.874 0.170 0.495
8 Rb 0.967 0.507 0.738
9 Sn 0.425 0.351 0.765
10 Sn 0.575 0.649 0.235
11 Se 0.188 0.186 0.846
12 Se 0.286 0.501 0.591
13 Se 0.292 0.461 0.033
14 Se 0.484 0.880 0.315
15 Se 0.516 0.120 0.685
16 Se 0.708 0.539 0.967
17 Se 0.714 0.499 0.409
18 Se 0.812 0.814 0.154
19 O 0.055 0.000 0.698
20 O 0.064 0.847 0.734
21 O 0.168 0.354 0.117
22 O 0.264 0.810 0.296
23 O 0.736 0.190 0.704
24 O 0.832 0.646 0.883
25 O 0.936 0.153 0.266
26 O 0.945 0.000 0.302

Top 12 peaks for 2θ from 10° to 80°, by angle:
- d = 6.968 Å, 2θ = 12.7°, rel. 53.1
- d = 5.153 Å, 2θ = 17.2°, rel. 22.4
- d = 3.922 Å, 2θ = 22.7°, rel. 30.4
- d = 3.379 Å, 2θ = 26.4°, rel. 42.2
- d = 3.274 Å, 2θ = 27.2°, rel. 38.2
- d = 3.264 Å, 2θ = 27.3°, rel. 100.0
- d = 3.193 Å, 2θ = 27.9°, rel. 83.4
- d = 3.089 Å, 2θ = 28.9°, rel. 43.7
- d = 2.792 Å, 2θ = 32.1°, rel. 37.4
- d = 2.781 Å, 2θ = 32.2°, rel. 27.6
- d = 2.745 Å, 2θ = 32.6°, rel. 28.6
- d = 1.983 Å, 2θ = 45.8°, rel. 25.7

7.
This entry pairs a crystal structure of RbTl3Se2O8 with its calculated XRD peak list. Radiation: λ = 1.5418 Å (Cu Kα). Structure: DFT lattice parameters and positions (PBE).
Kinematic intensities with the Lorentz-polarization factor, no thermal factor.

Cell: 6.268 6.268 8.498 Å, 90.00 90.00 120.00°
Atoms (fractional coordinates):
1 Rb 0.000 0.000 0.000
2 Tl 0.000 0.000 0.500
3 Tl 0.333 0.667 0.209
4 Tl 0.667 0.333 0.791
5 Se 0.333 0.667 0.697
6 Se 0.667 0.333 0.303
7 O 0.188 0.375 0.765
8 O 0.188 0.812 0.765
9 O 0.333 0.667 0.501
10 O 0.375 0.188 0.235
11 O 0.625 0.812 0.765
12 O 0.667 0.333 0.499
13 O 0.812 0.188 0.235
14 O 0.812 0.625 0.235

Top 12 peaks for 2θ from 10° to 80°, by angle:
- d = 4.575 Å, 2θ = 19.4°, rel. 25.6
- d = 3.346 Å, 2θ = 26.6°, rel. 100.0
- d = 3.134 Å, 2θ = 28.5°, rel. 97.2
- d = 2.586 Å, 2θ = 34.7°, rel. 15.5
- d = 2.287 Å, 2θ = 39.4°, rel. 42.7
- d = 1.978 Å, 2θ = 45.9°, rel. 14.3
- d = 1.848 Å, 2θ = 49.3°, rel. 34.1
- d = 1.810 Å, 2θ = 50.4°, rel. 19.8
- d = 1.759 Å, 2θ = 52.0°, rel. 15.0
- d = 1.567 Å, 2θ = 58.9°, rel. 15.4
- d = 1.476 Å, 2θ = 63.0°, rel. 12.3
- d = 1.419 Å, 2θ = 65.8°, rel. 16.6

8.
This entry pairs a crystal structure of Rb3U2Se3O4 with its calculated XRD peak list. Radiation: λ = 1.5418 Å (Cu Kα). Structure: DFT lattice parameters and positions (PBE).
Kinematic intensities with the Lorentz-polarization factor, no thermal factor.

Cell: 13.278 13.278 13.278 Å, 161.54 155.43 30.90°
Atoms (fractional coordinates):
1 Rb 0.000 0.000 0.000
2 Rb 0.203 0.203 0.000
3 Rb 0.797 0.797 0.000
4 U 0.389 0.389 0.000
5 U 0.611 0.611 0.000
6 Se 0.106 0.606 0.500
7 Se 0.500 0.500 0.000
8 Se 0.894 0.394 0.500
9 O 0.314 0.314 0.000
10 O 0.390 0.890 0.500
11 O 0.610 0.110 0.500
12 O 0.686 0.686 0.000

Top 12 peaks for 2θ from 10° to 80°, by angle:
- d = 6.399 Å, 2θ = 13.8°, rel. 65.0
- d = 4.201 Å, 2θ = 21.1°, rel. 60.5
- d = 3.793 Å, 2θ = 23.5°, rel. 59.5
- d = 3.401 Å, 2θ = 26.2°, rel. 89.9
- d = 3.274 Å, 2θ = 27.2°, rel. 100.0
- d = 2.825 Å, 2θ = 31.7°, rel. 72.4
- d = 2.560 Å, 2θ = 35.1°, rel. 42.2
- d = 2.139 Å, 2θ = 42.3°, rel. 63.2
- d = 2.130 Å, 2θ = 42.4°, rel. 33.7
- d = 2.045 Å, 2θ = 44.3°, rel. 33.9
- d = 1.897 Å, 2θ = 48.0°, rel. 34.3
- d = 1.700 Å, 2θ = 53.9°, rel. 33.1